(1)
Structure and computed powder XRD pattern of BaCaAl2W (the PBE geometry in Alexandria; a wavelength of 1.5418 Å).
Peak positions follow from Bragg's law for the DFT cell and can differ from measured ones.

Peak list (10 most intense, 2θ = 10–80°, in order of falling intensity)
2θ (°)	I/Imax	index
15.6	100	1 0 0
22.2	56	1 1 0
31.6	43	2 0 0
46.6	29	2 0 2
35.4	28	2 1 0
37.0	25	1 0 2
40.4	24	1 1 2
49.4	22	2 1 2
33.3	19	0 0 2
45.2	16	2 2 0

Crystal structure
a b c (Å): 5.670 5.670 5.375
angles (deg): 90.00 90.00 90.00
Space group P4/mmm (No. 123)
Inequivalent atoms, fractional coordinates:
Ba 0.000 0.000 0.000 (multiplicity 1)
Ca 0.500 0.500 0.500 (multiplicity 1)
Al 0.000 0.500 0.000 (multiplicity 2)
W 0.000 0.000 0.500 (multiplicity 1)

(2)
Structure and computed powder XRD pattern of Cs3CaTb2Te6 (the PBE geometry in Alexandria; a wavelength of 1.5418 Å).
Peak positions follow from Bragg's law for the DFT cell and can differ from measured ones.

Peak list (10 most intense, 2θ = 10–80°, in order of falling intensity)
2θ (°)	I/Imax	index
26.1	100	1 3 1
39.3	37	0 6 0
34.9	32	2 0 2
47.8	19	4 0 0
63.6	16	4 6 0
53.6	9	2 6 2
27.9	9	1 3 -2
68.5	9	5 3 1
32.4	8	2 0 -3
50.1	8	3 3 -4

Crystal structure
a b c (Å): 7.936 13.744 9.370
angles (deg): 90.00 106.39 90.00
Space group C2/m (No. 12)
Inequivalent atoms, fractional coordinates:
Cs 0.000 0.000 0.000 (multiplicity 2)
Cs 0.000 0.336 0.000 (multiplicity 4)
Ca 0.000 0.500 0.500 (multiplicity 2)
Tb 0.000 0.167 0.500 (multiplicity 4)
Te 0.221 0.000 0.691 (multiplicity 4)
Te 0.235 0.329 0.692 (multiplicity 8)

(3)
Structure and computed powder XRD pattern of ErSn4Rh7 (the PBE geometry in Alexandria; a wavelength of 1.5418 Å).
Peak positions follow from Bragg's law for the DFT cell and can differ from measured ones.

Peak list (10 most intense, 2θ = 10–80°, in order of falling intensity)
2θ (°)	I/Imax	index
37.7	100	0 2 0
40.4	92	3 1 1
39.0	66	2 0 -4
42.3	65	5 1 -3
32.2	53	4 0 -3
55.3	48	2 2 -4
29.2	40	3 1 -1
50.4	30	4 2 -3
77.0	21	8 2 -2
46.6	19	1 1 -4

Crystal structure
a b c (Å): 12.230 4.774 9.533
angles (deg): 90.00 126.36 90.00
Space group C2/m (No. 12)
Inequivalent atoms, fractional coordinates:
Er 0.000 0.000 0.000 (multiplicity 2)
Sn 0.085 0.500 0.783 (multiplicity 4)
Sn 0.220 0.500 0.338 (multiplicity 4)
Rh 0.000 0.500 0.000 (multiplicity 2)
Rh 0.071 0.000 0.331 (multiplicity 4)
Rh 0.143 0.500 0.557 (multiplicity 4)
Rh 0.217 0.000 0.878 (multiplicity 4)

(4)
Structure and computed powder XRD pattern of GaSiSbPb2 (the PBE geometry in Alexandria; a wavelength of 1.5418 Å).
Peak positions follow from Bragg's law for the DFT cell and can differ from measured ones.

Peak list (10 most intense, 2θ = 10–80°, in order of falling intensity)
2θ (°)	I/Imax	index
30.2	100	2 0 0
35.0	96	0 0 2
27.5	96	1 1 1
46.9	88	2 0 2
17.3	85	0 0 1
43.3	38	2 2 0
15.0	36	1 0 0
52.1	34	3 1 1
56.8	34	2 2 2
71.3	26	4 2 0

Crystal structure
a b c (Å): 5.913 5.913 5.129
angles (deg): 90.00 90.00 90.00
Space group P4/mmm (No. 123)
Inequivalent atoms, fractional coordinates:
Ga 0.000 0.000 0.000 (multiplicity 1)
Si 0.500 0.500 0.000 (multiplicity 1)
Sb 0.000 0.000 0.500 (multiplicity 1)
Pb 0.000 0.500 0.500 (multiplicity 2)

(5)
Structure and computed powder XRD pattern of Ag5S2Cl2 (the PBE geometry in Alexandria; a wavelength of 1.5418 Å).
Peak positions follow from Bragg's law for the DFT cell and can differ from measured ones.

Peak list (10 most intense, 2θ = 10–80°, in order of falling intensity)
2θ (°)	I/Imax	index
27.6	100	5 1 0
26.6	100	0 0 2
26.9	90	4 1 1
29.6	66	1 2 1
38.7	57	5 1 2
47.1	43	4 1 3
42.5	39	4 2 2
32.6	39	4 2 0
39.4	30	8 0 0
33.1	29	4 0 2

Crystal structure
a b c (Å): 18.317 6.870 6.708
angles (deg): 90.00 90.00 90.00
Space group Ima2 (No. 46)
Inequivalent atoms, fractional coordinates:
Ag 0.032 0.200 0.000 (multiplicity 8)
Ag 0.129 0.572 0.923 (multiplicity 8)
Ag 0.250 0.139 0.980 (multiplicity 4)
S 0.000 0.000 0.308 (multiplicity 4)
S 0.250 0.044 0.326 (multiplicity 4)
Cl 0.132 0.539 0.327 (multiplicity 8)

(6)
Structure and computed powder XRD pattern of Pu4Ga16Ir3 (the PBE geometry in Alexandria; a wavelength of 1.5418 Å).
Peak positions follow from Bragg's law for the DFT cell and can differ from measured ones.

Peak list (10 most intense, 2θ = 10–80°, in order of falling intensity)
2θ (°)	I/Imax	index
37.8	100	2 0 3
41.4	76	2 2 0
31.5	71	1 1 3
20.4	43	1 1 0
53.0	31	3 1 3
73.2	26	4 2 3
29.0	25	2 0 0
60.1	24	4 0 0
43.7	24	2 0 4
59.1	21	2 2 5

Crystal structure
a b c (Å): 6.162 6.162 11.214
angles (deg): 90.00 90.00 90.00
Space group P4/mmm (No. 123)
Inequivalent atoms, fractional coordinates:
Pu 0.000 0.500 0.190 (multiplicity 4)
Ga 0.000 0.000 0.202 (multiplicity 2)
Ga 0.213 0.213 0.000 (multiplicity 4)
Ga 0.249 0.249 0.378 (multiplicity 8)
Ga 0.500 0.500 0.224 (multiplicity 2)
Ir 0.000 0.500 0.500 (multiplicity 2)
Ir 0.500 0.500 0.000 (multiplicity 1)

Copy entry 1 word for word.
Structure and computed powder XRD pattern of BaCaAl2W (the PBE geometry in Alexandria; a wavelength of 1.5418 Å).
Peak positions follow from Bragg's law for the DFT cell and can differ from measured ones.

Peak list (10 most intense, 2θ = 10–80°, in order of falling intensity)
2θ (°)	I/Imax	index
15.6	100	1 0 0
22.2	56	1 1 0
31.6	43	2 0 0
46.6	29	2 0 2
35.4	28	2 1 0
37.0	25	1 0 2
40.4	24	1 1 2
49.4	22	2 1 2
33.3	19	0 0 2
45.2	16	2 2 0

Crystal structure
a b c (Å): 5.670 5.670 5.375
angles (deg): 90.00 90.00 90.00
Space group P4/mmm (No. 123)
Inequivalent atoms, fractional coordinates:
Ba 0.000 0.000 0.000 (multiplicity 1)
Ca 0.500 0.500 0.500 (multiplicity 1)
Al 0.000 0.500 0.000 (multiplicity 2)
W 0.000 0.000 0.500 (multiplicity 1)